[1]
Diffraction record for Rb2YSnCl6. The powder diffraction line list is calculated, not measured: it uses a structure optimized by DFT (GGA-PBE) and Cu Kα (λ = 1.5418 Å).
Intensities are scaled so that the largest is 100.

Peak list (10 most intense, 2θ = 5–70°, sorted by position)
2theta, d (Å), Rel. int.
21.52, 4.129, 100
22.97, 3.872, 40
28.39, 3.144, 40
32.71, 2.738, 61
36.83, 2.441, 20
39.49, 2.282, 42
43.85, 2.065, 46
46.93, 1.936, 21
55.76, 1.649, 22
57.91, 1.592, 20

Crystal structure
Cell: 8.338 8.338 8.338 Å, 124.65 124.65 82.11°
Fractional positions:
Rb (0.250, 0.750, 0.500)
Rb (0.750, 0.250, 0.500)
Y (0.000, 0.000, 0.000)
Sn (0.500, 0.500, 0.000)
Cl (0.210, 0.210, 0.000)
Cl (0.241, 0.241, 0.482)
Cl (0.241, 0.759, 0.000)
Cl (0.759, 0.241, 0.000)
Cl (0.759, 0.759, 0.518)
Cl (0.790, 0.790, 0.000)

[2]
Diffraction record for CeTaVGe2. The powder diffraction line list is calculated, not measured: it uses a structure optimized by DFT (GGA-PBE) and Cu Kα (λ = 1.5418 Å).
Intensities are scaled so that the largest is 100.

Peak list (10 most intense, 2θ = 5–70°, sorted by position)
2theta, d (Å), Rel. int.
23.46, 3.792, 28
29.95, 2.983, 13
31.72, 2.821, 49
35.11, 2.556, 100
44.17, 2.050, 49
45.35, 2.000, 41
56.40, 1.631, 19
56.57, 1.627, 12
65.18, 1.431, 20
66.07, 1.414, 13

Crystal structure
Cell: 6.603 6.603 6.603 Å, 144.74 144.74 50.73°
Fractional positions:
Ce (0.000, 0.000, 0.000)
Ta (0.250, 0.750, 0.500)
V (0.750, 0.250, 0.500)
Ge (0.392, 0.392, 0.000)
Ge (0.608, 0.608, 0.000)

[3]
Diffraction record for La5Tb4Tm4. The powder diffraction line list is calculated, not measured: it uses a structure optimized by DFT (GGA-PBE) and Cu Kα (λ = 1.5418 Å).
Intensities are scaled so that the largest is 100.

Peak list (9 most intense, 2θ = 5–70°, sorted by position)
2theta, d (Å), Rel. int.
9.58, 9.231, 1
30.29, 2.951, 100
35.05, 2.560, 34
35.26, 2.545, 17
50.41, 1.810, 12
50.56, 1.805, 24
59.95, 1.543, 29
60.23, 1.537, 14
63.01, 1.475, 12

Crystal structure
Cell: 9.576 9.576 9.576 Å, 94.05 94.05 149.17°
Fractional positions:
La (0.000, 0.000, 0.000)
La (0.306, 0.540, 0.846)
La (0.460, 0.306, 0.766)
La (0.540, 0.694, 0.234)
La (0.694, 0.460, 0.154)
Tb (0.076, 0.386, 0.462)
Tb (0.386, 0.924, 0.311)
Tb (0.614, 0.076, 0.689)
Tb (0.924, 0.614, 0.538)
Tm (0.155, 0.765, 0.921)
Tm (0.235, 0.155, 0.390)
Tm (0.765, 0.845, 0.610)
Tm (0.845, 0.235, 0.079)

[4]
Diffraction record for Er2Au2O7. The powder diffraction line list is calculated, not measured: it uses a structure optimized by DFT (GGA-PBE) and Cu Kα (λ = 1.5418 Å).
Intensities are scaled so that the largest is 100.

Peak list (7 most intense, 2θ = 5–70°, sorted by position)
2theta, d (Å), Rel. int.
14.70, 6.024, 1
28.37, 3.146, 1
29.66, 3.012, 100
34.38, 2.609, 37
49.41, 1.845, 47
58.69, 1.573, 45
61.58, 1.506, 10

Crystal structure
Cell: 7.378 7.378 7.378 Å, 60.00 60.00 60.00°
Fractional positions:
Er (0.000, 0.000, 0.000)
Er (0.000, 0.000, 0.500)
Er (0.000, 0.500, 0.000)
Er (0.500, 0.000, 0.000)
Au (0.000, 0.500, 0.500)
Au (0.500, 0.000, 0.500)
Au (0.500, 0.500, 0.000)
Au (0.500, 0.500, 0.500)
O (0.125, 0.125, 0.125)
O (0.152, 0.152, 0.598)
O (0.152, 0.598, 0.152)
O (0.152, 0.598, 0.598)
O (0.402, 0.402, 0.848)
O (0.402, 0.848, 0.402)
O (0.402, 0.848, 0.848)
O (0.598, 0.152, 0.152)
O (0.598, 0.152, 0.598)
O (0.598, 0.598, 0.152)
O (0.848, 0.402, 0.402)
O (0.848, 0.402, 0.848)
O (0.848, 0.848, 0.402)
O (0.875, 0.875, 0.875)

[5]
Diffraction record for Pr3Cu2BRh3. The powder diffraction line list is calculated, not measured: it uses a structure optimized by DFT (GGA-PBE) and Cu Kα (λ = 1.5418 Å).
Intensities are scaled so that the largest is 100.

Peak list (10 most intense, 2θ = 5–70°, sorted by position)
2theta, d (Å), Rel. int.
23.86, 3.729, 17
35.15, 2.553, 100
36.82, 2.441, 50
37.90, 2.374, 25
41.97, 2.153, 19
45.28, 2.003, 15
48.85, 1.864, 13
52.23, 1.751, 13
57.81, 1.595, 16
65.61, 1.423, 18

Crystal structure
Cell: 7.458 7.458 3.503 Å, 90.00 90.00 120.00°
Fractional positions:
Pr (0.000, 0.622, 0.000)
Pr (0.378, 0.378, 0.000)
Pr (0.622, 0.000, 0.000)
Cu (0.333, 0.667, 0.500)
Cu (0.667, 0.333, 0.500)
B (0.000, 0.000, 0.000)
Rh (0.000, 0.214, 0.500)
Rh (0.214, 0.000, 0.500)
Rh (0.786, 0.786, 0.500)

[6]
Diffraction record for BaMg4Ag8. The powder diffraction line list is calculated, not measured: it uses a structure optimized by DFT (GGA-PBE) and Cu Kα (λ = 1.5418 Å).
Intensities are scaled so that the largest is 100.

Peak list (10 most intense, 2θ = 5–70°, sorted by position)
2theta, d (Å), Rel. int.
25.88, 3.442, 19
30.95, 2.889, 49
31.62, 2.830, 42
36.15, 2.484, 24
36.74, 2.446, 100
36.93, 2.434, 32
40.78, 2.213, 29
41.30, 2.186, 34
58.90, 1.568, 24
66.42, 1.408, 26

Crystal structure
Cell: 7.466 7.466 7.466 Å, 98.61 98.61 134.47°
Fractional positions:
Ba (0.000, 0.000, 0.000)
Mg (0.000, 0.000, 0.500)
Mg (0.000, 0.500, 0.000)
Mg (0.500, 0.000, 0.000)
Mg (0.500, 0.500, 0.500)
Ag (0.000, 0.352, 0.352)
Ag (0.000, 0.648, 0.648)
Ag (0.275, 0.500, 0.775)
Ag (0.352, 0.000, 0.352)
Ag (0.500, 0.275, 0.775)
Ag (0.500, 0.725, 0.225)
Ag (0.648, 0.000, 0.648)
Ag (0.725, 0.500, 0.225)

[7]
Diffraction record for HfAlTe. The powder diffraction line list is calculated, not measured: it uses a structure optimized by DFT (GGA-PBE) and Cu Kα (λ = 1.5418 Å).
Intensities are scaled so that the largest is 100.

Peak list (10 most intense, 2θ = 5–70°, sorted by position)
2theta, d (Å), Rel. int.
17.01, 5.211, 32
25.18, 3.536, 22
26.62, 3.349, 62
30.55, 2.926, 64
36.25, 2.478, 100
44.37, 2.042, 52
47.85, 1.901, 14
50.85, 1.796, 24
54.83, 1.674, 12
58.58, 1.576, 25

Crystal structure
Cell: 4.083 4.083 10.422 Å, 90.00 90.00 120.00°
Fractional positions:
Hf (0.000, 0.000, 0.183)
Hf (0.000, 0.000, 0.817)
Al (0.333, 0.667, 0.025)
Al (0.667, 0.333, 0.975)
Te (0.333, 0.667, 0.652)
Te (0.667, 0.333, 0.348)

[8]
Diffraction record for SrTl6Hg23. The powder diffraction line list is calculated, not measured: it uses a structure optimized by DFT (GGA-PBE) and Cu Kα (λ = 1.5418 Å).
Intensities are scaled so that the largest is 100.

Peak list (10 most intense, 2θ = 5–70°, sorted by position)
2theta, d (Å), Rel. int.
26.41, 3.374, 6
28.99, 3.080, 6
30.79, 2.904, 20
33.59, 2.668, 100
35.70, 2.515, 7
46.21, 1.965, 7
48.25, 1.886, 13
58.33, 1.582, 7
60.07, 1.540, 23
63.80, 1.459, 8

Crystal structure
Cell: 10.673 10.672 10.667 Å, 60.03 60.01 59.97°
Fractional positions:
Sr (0.000, 0.000, 0.000)
Tl (0.282, 0.282, 0.718)
Tl (0.282, 0.718, 0.282)
Tl (0.282, 0.718, 0.718)
Tl (0.718, 0.282, 0.282)
Tl (0.718, 0.282, 0.718)
Tl (0.718, 0.718, 0.282)
Hg (0.000, 0.000, 0.500)
Hg (0.000, 0.500, 0.000)
Hg (0.000, 0.500, 0.500)
Hg (0.044, 0.652, 0.652)
Hg (0.126, 0.126, 0.126)
Hg (0.126, 0.126, 0.621)
Hg (0.126, 0.621, 0.126)
Hg (0.348, 0.348, 0.348)
Hg (0.348, 0.348, 0.956)
Hg (0.348, 0.956, 0.348)
Hg (0.379, 0.874, 0.874)
Hg (0.500, 0.000, 0.000)
Hg (0.500, 0.000, 0.500)
Hg (0.500, 0.500, 0.000)
Hg (0.500, 0.500, 0.500)
Hg (0.621, 0.126, 0.126)
Hg (0.652, 0.044, 0.652)
Hg (0.652, 0.652, 0.044)
Hg (0.652, 0.652, 0.652)
Hg (0.874, 0.379, 0.874)
Hg (0.874, 0.874, 0.379)
Hg (0.874, 0.874, 0.874)
Hg (0.956, 0.348, 0.348)

[9]
Diffraction record for Zn2CuRu. The powder diffraction line list is calculated, not measured: it uses a structure optimized by DFT (GGA-PBE) and Cu Kα (λ = 1.5418 Å).
Intensities are scaled so that the largest is 100.

Peak list (10 most intense, 2θ = 5–70°, sorted by position)
2theta, d (Å), Rel. int.
15.79, 5.612, 4
28.66, 3.114, 2
31.89, 2.806, 1
32.89, 2.723, 2
40.98, 2.202, 60
43.40, 2.085, 100
44.18, 2.050, 1
52.84, 1.732, 1
59.35, 1.557, 19
66.66, 1.403, 6

Crystal structure
Cell: 3.114 3.114 5.612 Å, 90.00 90.00 90.00°
Fractional positions:
Zn (0.000, 0.000, 0.000)
Zn (0.500, 0.500, 0.272)
Cu (0.000, 0.000, 0.504)
Ru (0.500, 0.500, 0.760)

[10]
Diffraction record for Pr4Ho2Tm3. The powder diffraction line list is calculated, not measured: it uses a structure optimized by DFT (GGA-PBE) and Cu Kα (λ = 1.5418 Å).
Intensities are scaled so that the largest is 100.

Peak list (10 most intense, 2θ = 5–70°, sorted by position)
2theta, d (Å), Rel. int.
30.53, 2.928, 11
31.15, 2.871, 100
31.54, 2.837, 97
44.93, 2.018, 34
51.68, 1.769, 9
55.83, 1.647, 11
55.97, 1.643, 22
56.10, 1.639, 10
61.81, 1.501, 29
65.93, 1.417, 6

Crystal structure
Cell: 9.836 9.836 7.075 Å, 90.00 90.00 120.20°
Fractional positions:
Pr (0.149, 0.181, 0.000)
Pr (0.151, 0.471, 0.500)
Pr (0.181, 0.149, 0.500)
Pr (0.471, 0.151, 0.000)
Pr (0.529, 0.849, 0.000)
Pr (0.819, 0.851, 0.500)
Pr (0.849, 0.529, 0.500)
Pr (0.851, 0.819, 0.000)
Ho (0.180, 0.529, 0.000)
Ho (0.471, 0.820, 0.500)
Ho (0.529, 0.180, 0.500)
Ho (0.820, 0.471, 0.000)
Tm (0.171, 0.829, 0.250)
Tm (0.171, 0.829, 0.750)
Tm (0.500, 0.500, 0.250)
Tm (0.500, 0.500, 0.750)
Tm (0.829, 0.171, 0.250)
Tm (0.829, 0.171, 0.750)